Entry 1:
Structure and calculated powder diffractogram of BiPb2Br2O2 (a PBE-relaxed structure; Cu Kα (weighted mean of Kα1 and Kα2)).
Kinematic intensities with the Lorentz-polarization factor, no thermal factor.

Cell and atoms:
```
data_BiPb2Br2O2
_chemical_formula_sum 'Bi2 Pb4 Br4 O4'
_cell_length_a 13.0463
_cell_length_b 4.3800
_cell_length_c 8.0956
_cell_angle_alpha 90.00
_cell_angle_beta 125.84
_cell_angle_gamma 90.00
_space_group_name_H-M_alt 'C 1 2/m 1'
_space_group_IT_number 12
_space_group_name_Hall '-C 2y'
loop_
_atom_site_label
_atom_site_fract_x
_atom_site_fract_y
_atom_site_fract_z
Bi1 0.0000 0.0000 0.0000
Pb1 0.1888 0.0000 0.7781
Br1 0.0612 0.5000 0.3020
O1 0.2048 0.0000 0.0769
```

Most intense lines, 10 to 90 degrees two-theta, by intensity:
28.39 deg, I 100, hkl 1 1 1
31.53 deg, I 77, hkl 3 1 -2
28.04 deg, I 58, hkl 4 0 -1
13.49 deg, I 35, hkl 0 0 1
33.95 deg, I 29, hkl 2 0 -3
21.97 deg, I 24, hkl 2 0 -2
41.22 deg, I 24, hkl 0 2 0
50.60 deg, I 23, hkl 4 2 -1
47.75 deg, I 22, hkl 5 1 0
53.84 deg, I 21, hkl 7 1 -3

---

Entry 2:
Structure and calculated powder diffractogram of Ba2Zn3Ag17 (a PBE-relaxed structure; Cu Kα (weighted mean of Kα1 and Kα2)).
Kinematic intensities with the Lorentz-polarization factor, no thermal factor.

Cell and atoms:
```
data_Ba2Zn3Ag17
_chemical_formula_sum 'Ba6 Zn9 Ag51'
_cell_length_a 10.5310
_cell_length_b 10.5310
_cell_length_c 14.9072
_cell_angle_alpha 90.00
_cell_angle_beta 90.00
_cell_angle_gamma 120.00
_space_group_name_H-M_alt 'R -3 m'
_space_group_IT_number 166
_space_group_name_Hall '-R 3 2"'
loop_
_atom_site_label
_atom_site_fract_x
_atom_site_fract_y
_atom_site_fract_z
Ba1 0.0000 0.0000 0.1646
Zn1 0.0000 0.5000 0.5000
Ag1 0.0000 0.0000 0.4033
Ag2 0.0000 0.2607 0.5000
Ag3 0.0000 0.5000 0.0000
Ag4 0.0011 0.5006 0.3282
```

Most intense lines, 10 to 90 degrees two-theta, by intensity:
34.05 deg, I 100, hkl 2 2 0
34.59 deg, I 54, hkl 0 3 3
36.15 deg, I 49, hkl 0 0 6
39.99 deg, I 47, hkl 4 0 1
38.71 deg, I 42, hkl 2 2 3
50.51 deg, I 32, hkl 2 2 6
35.47 deg, I 29, hkl 2 1 4
71.70 deg, I 26, hkl 4 4 0
83.02 deg, I 23, hkl 4 4 6
49.33 deg, I 22, hkl 4 1 3

---

Entry 3:
Structure and calculated powder diffractogram of NdDyOs (a PBE-relaxed structure; Cu Kα (weighted mean of Kα1 and Kα2)).
Kinematic intensities with the Lorentz-polarization factor, no thermal factor.

Cell and atoms:
```
data_NdDyOs
_chemical_formula_sum 'Nd2 Dy2 Os2'
_cell_length_a 3.4417
_cell_length_b 3.4417
_cell_length_c 13.5588
_cell_angle_alpha 90.00
_cell_angle_beta 90.00
_cell_angle_gamma 90.00
_space_group_name_H-M_alt 'I 4 m m'
_space_group_IT_number 107
_space_group_name_Hall 'I 4 -2'
loop_
_atom_site_label
_atom_site_fract_x
_atom_site_fract_y
_atom_site_fract_z
Nd1 0.0000 0.0000 0.0000
Dy1 0.0000 0.0000 0.2489
Os1 0.0000 0.0000 0.6301
```

Most intense lines, 10 to 90 degrees two-theta, by intensity:
32.70 deg, I 100, hkl 1 0 3
36.94 deg, I 55, hkl 1 1 0
42.44 deg, I 51, hkl 1 0 5
13.06 deg, I 50, hkl 0 0 2
63.89 deg, I 29, hkl 2 1 3
70.33 deg, I 23, hkl 2 1 5
53.23 deg, I 19, hkl 2 0 0
67.32 deg, I 19, hkl 1 1 8
39.34 deg, I 14, hkl 1 1 2
79.35 deg, I 12, hkl 2 0 8

---

Entry 4:
Structure and calculated powder diffractogram of Dy12Co5Hg (a PBE-relaxed structure; Cu Kα (weighted mean of Kα1 and Kα2)).
Kinematic intensities with the Lorentz-polarization factor, no thermal factor.

Cell and atoms:
```
data_Dy12Co5Hg
_chemical_formula_sum 'Dy24 Co10 Hg2'
_cell_length_a 9.3901
_cell_length_b 9.4287
_cell_length_c 9.7577
_cell_angle_alpha 90.00
_cell_angle_beta 90.00
_cell_angle_gamma 90.00
_space_group_name_H-M_alt 'I m m m'
_space_group_IT_number 71
_space_group_name_Hall '-I 2 2'
loop_
_atom_site_label
_atom_site_fract_x
_atom_site_fract_y
_atom_site_fract_z
Dy1 0.0000 0.1923 0.2098
Dy2 0.1962 0.5000 0.1842
Dy3 0.2089 0.3156 0.5000
Co1 0.0000 0.0000 0.0000
Co2 0.0000 0.3773 0.0000
Co3 0.0000 0.5000 0.3866
Hg1 0.0000 0.0000 0.5000
```

Most intense lines, 10 to 90 degrees two-theta, by intensity:
32.58 deg, I 100, hkl 2 2 2
34.88 deg, I 56, hkl 2 1 3
35.29 deg, I 53, hkl 1 3 2
35.62 deg, I 45, hkl 3 2 1
30.08 deg, I 30, hkl 3 1 0
60.48 deg, I 29, hkl 5 3 2
29.87 deg, I 29, hkl 0 3 1
29.05 deg, I 24, hkl 1 0 3
55.43 deg, I 22, hkl 0 3 5
38.34 deg, I 21, hkl 4 0 0

---

Entry 5:
Structure and calculated powder diffractogram of HfRh4 (a PBE-relaxed structure; Cu Kα (weighted mean of Kα1 and Kα2)).
Kinematic intensities with the Lorentz-polarization factor, no thermal factor.

Cell and atoms:
```
data_HfRh4
_chemical_formula_sum 'Hf4 Rh16'
_cell_length_a 4.1754
_cell_length_b 5.5056
_cell_length_c 13.3942
_cell_angle_alpha 90.00
_cell_angle_beta 90.00
_cell_angle_gamma 90.00
_space_group_name_H-M_alt 'I m m a'
_space_group_IT_number 74
_space_group_name_Hall '-I 2b 2'
loop_
_atom_site_label
_atom_site_fract_x
_atom_site_fract_y
_atom_site_fract_z
Hf1 0.0000 0.2500 0.1053
Rh1 0.0000 0.0000 0.5000
Rh2 0.0000 0.0091 0.6960
Rh3 0.0000 0.2500 0.8952
```

Most intense lines, 10 to 90 degrees two-theta, by intensity:
39.99 deg, I 100, hkl 1 0 5
39.80 deg, I 91, hkl 1 2 1
43.34 deg, I 40, hkl 2 0 0
42.51 deg, I 38, hkl 0 2 4
62.33 deg, I 24, hkl 2 2 4
82.02 deg, I 24, hkl 1 4 5
52.80 deg, I 19, hkl 0 2 6
70.62 deg, I 16, hkl 2 2 6
44.33 deg, I 15, hkl 1 2 3
77.25 deg, I 14, hkl 3 0 5

---

Entry 6:
Structure and calculated powder diffractogram of TbPm3Si3 (a PBE-relaxed structure; Cu Kα (weighted mean of Kα1 and Kα2)).
Kinematic intensities with the Lorentz-polarization factor, no thermal factor.

Cell and atoms:
```
data_TbPm3Si3
_chemical_formula_sum 'Tb3 Pm9 Si9'
_cell_length_a 9.9719
_cell_length_b 9.9719
_cell_length_c 6.2268
_cell_angle_alpha 90.00
_cell_angle_beta 90.00
_cell_angle_gamma 120.00
_space_group_name_H-M_alt 'R 3 m'
_space_group_IT_number 160
_space_group_name_Hall 'R 3 -2"'
loop_
_atom_site_label
_atom_site_fract_x
_atom_site_fract_y
_atom_site_fract_z
Tb1 0.0000 0.0000 0.0000
Pm1 0.0392 0.5196 0.0770
Si1 0.9997 0.4999 0.5545
```

Most intense lines, 10 to 90 degrees two-theta, by intensity:
25.10 deg, I 100, hkl 0 2 1
35.55 deg, I 68, hkl 2 0 2
36.03 deg, I 66, hkl 2 2 0
30.93 deg, I 25, hkl 2 1 1
51.51 deg, I 18, hkl 0 4 2
44.41 deg, I 16, hkl 4 0 1
54.93 deg, I 16, hkl 2 3 2
64.46 deg, I 15, hkl 4 2 2
67.73 deg, I 13, hkl 4 3 1
30.52 deg, I 12, hkl 0 1 2